The following is a calculated X-ray diffraction stick pattern of Li4MnSnW2O12. It was derived from a cell relaxed with GGA+U, using λ = 1.5418 Å (Cu Kα).

The 10 most intense peaks (10° ≤ 2θ ≤ 90°), by angle:
2θ (°)  Rel. int.  hkl
20.96  16  1 0 1
23.83  100  1 1 0
33.04  40  1 1 -2
34.85  27  1 1 2
40.24  9  1 0 -3
42.66  15  2 0 2
48.83  12  2 2 0
53.67  9  1 1 -4
53.78  18  2 -2 2
61.32  10  2 0 -4

Crystal structure
Cell: 5.1445 5.4329 7.5029 Å, 94.31 90.02 90.01°
Fractional positions:
1 Li 0.0000 0.0000 0.0000
2 Li 0.0010 0.0052 0.4733
3 Li 0.4939 0.5164 0.4741
4 Li 0.4950 0.5252 0.9920
5 Mn 0.4950 0.9457 0.2657
6 Sn 0.9980 0.4435 0.7682
7 W 0.5011 0.9433 0.7663
8 W 0.9943 0.4418 0.2690
9 O 0.1246 0.4162 0.0297
10 O 0.1800 0.1026 0.7143
11 O 0.1996 0.7317 0.3354
12 O 0.2924 0.2320 0.3381
13 O 0.3354 0.6205 0.7155
14 O 0.3752 0.9190 0.0239
15 O 0.6178 0.9326 0.5237
16 O 0.6740 0.2437 0.8440
17 O 0.6901 0.6283 0.2173
18 O 0.8025 0.1256 0.2166
19 O 0.8033 0.7600 0.8446
20 O 0.8680 0.4280 0.5123